No. 1
Simulated XRD peak list of Y2Zn17 for Cu Kα, 1.54184 Å, from DFT lattice parameters and positions (PBE).
Kinematic intensities with the Lorentz-polarization factor, no thermal factor.

Principal peaks in the range 10 to 90 degrees two-theta, in order of rising 2θ:
34.63 deg, d = 2.590 Å, intensity 34, (3 0 0); 35.65 deg, d = 2.519 Å, intensity 25, (0 2 4); 40.20 deg, d = 2.243 Å, intensity 61, (2 2 0); 40.38 deg, d = 2.234 Å, intensity 100, (0 3 3); 40.93 deg, d = 2.205 Å, intensity 37, (0 0 6); 41.28 deg, d = 2.187 Å, intensity 23, (2 0 5); 45.36 deg, d = 2.000 Å, intensity 63, (2 2 3); 45.86 deg, d = 1.979 Å, intensity 15, (1 1 6); 73.05 deg, d = 1.295 Å, intensity 21, (6 0 0); 74.17 deg, d = 1.278 Å, intensity 21, (0 3 9)

Structure:
Cell: 8.9736 8.9736 13.2290 Å, 90.00 90.00 120.00°
Space group R-3m (No. 166, hexagonal axes)
One atom of each set of equivalent atoms:
Y1 0.0000 0.0000 0.1651 (multiplicity 6)
Zn1 0.0000 0.0000 0.4002 (multiplicity 6)
Zn2 0.0000 0.2969 0.5000 (multiplicity 18)
Zn3 0.0000 0.5000 0.0000 (multiplicity 9)
Zn4 0.0091 0.5045 0.6528 (multiplicity 18)

No. 2
Simulated XRD peak list of YZn3 for Cu Kα, 1.54184 Å, from DFT lattice parameters and positions (PBE).
Kinematic intensities with the Lorentz-polarization factor, no thermal factor.

Principal peaks in the range 10 to 90 degrees two-theta, in order of rising 2θ:
34.79 deg, d = 2.579 Å, intensity 89, (2 1 1); 35.47 deg, d = 2.530 Å, intensity 18, (0 0 4); 36.14 deg, d = 2.485 Å, intensity 100, (1 1 3); 38.00 deg, d = 2.368 Å, intensity 21, (1 0 4); 41.10 deg, d = 2.196 Å, intensity 52, (0 2 0); 43.24 deg, d = 2.092 Å, intensity 32, (2 1 3); 44.26 deg, d = 2.047 Å, intensity 20, (3 0 2); 46.42 deg, d = 1.956 Å, intensity 14, (3 1 1); 61.98 deg, d = 1.497 Å, intensity 15, (3 2 2); 71.66 deg, d = 1.317 Å, intensity 12, (1 3 3)

Structure:
Cell: 6.713 4.392 10.122 Å, 90.00 90.00 90.00°
Space group Pnma (No. 62)
One atom of each set of equivalent atoms:
Y1 0.220 0.250 0.161 (multiplicity 4)
Zn1 0.037 0.750 0.394 (multiplicity 4)
Zn2 0.083 0.250 0.852 (multiplicity 4)
Zn3 0.220 0.750 0.956 (multiplicity 4)

No. 3
Simulated XRD peak list of YZn2 for Cu Kα, 1.54184 Å, from DFT lattice parameters and positions (PBE).
Kinematic intensities with the Lorentz-polarization factor, no thermal factor.

Principal peaks in the range 10 to 90 degrees two-theta, in order of rising 2θ:
32.75 deg, d = 2.735 Å, intensity 35, (2 2 0); 38.61 deg, d = 2.332 Å, intensity 100, (3 1 1); 40.40 deg, d = 2.233 Å, intensity 33, (2 2 2); 46.99 deg, d = 1.934 Å, intensity 2, (4 0 0); 58.45 deg, d = 1.579 Å, intensity 13, (4 2 2); 62.38 deg, d = 1.489 Å, intensity 31, (5 1 1); 68.64 deg, d = 1.367 Å, intensity 25, (4 4 0); 78.15 deg, d = 1.223 Å, intensity 5, (6 2 0); 81.62 deg, d = 1.180 Å, intensity 10, (5 3 3); 82.77 deg, d = 1.166 Å, intensity 11, (6 2 2)

Structure:
Cell: 7.735 7.735 7.735 Å, 90.00 90.00 90.00°
Space group Fd-3m (No. 227, origin choice 2)
One atom of each set of equivalent atoms:
Y1 0.125 0.125 0.125 (multiplicity 8)
Zn1 0.000 0.000 0.500 (multiplicity 16)

No. 4
Simulated XRD peak list of YZn5 for Cu Kα, 1.54184 Å, from DFT lattice parameters and positions (PBE).
Kinematic intensities with the Lorentz-polarization factor, no thermal factor.

Principal peaks in the range 10 to 90 degrees two-theta, in order of rising 2θ:
30.42 deg, d = 2.938 Å, intensity 13, (2 0 2); 36.22 deg, d = 2.480 Å, intensity 36, (3 0 1); 37.86 deg, d = 2.376 Å, intensity 100, (2 0 3); 39.92 deg, d = 2.258 Å, intensity 13, (0 0 4); 40.27 deg, d = 2.240 Å, intensity 17, (3 0 2); 40.38 deg, d = 2.233 Å, intensity 99, (2 2 0); 43.12 deg, d = 2.098 Å, intensity 18, (2 1 3); 45.29 deg, d = 2.002 Å, intensity 28, (2 2 2); 46.57 deg, d = 1.950 Å, intensity 13, (2 0 4); 71.76 deg, d = 1.315 Å, intensity 22, (4 2 3)

Structure:
Cell: 8.9340 8.9340 9.0333 Å, 90.00 90.00 120.00°
Space group P6_3/mmc (No. 194)
One atom of each set of equivalent atoms:
Y1 0.1908 0.3817 0.2500 (multiplicity 6)
Zn1 0.0000 0.0000 0.0000 (multiplicity 2)
Zn2 0.0000 0.5000 0.0000 (multiplicity 6)
Zn3 0.1365 0.5683 0.7500 (multiplicity 6)
Zn4 0.1601 0.3202 0.5910 (multiplicity 12)
Zn5 0.3333 0.6667 0.0143 (multiplicity 4)

No. 5
Simulated XRD peak list of YZn5 for Cu Kα, 1.54184 Å, from DFT lattice parameters and positions (PBE).
Kinematic intensities with the Lorentz-polarization factor, no thermal factor.

Principal peaks in the range 10 to 90 degrees two-theta, in order of rising 2θ:
28.67 deg, d = 3.114 Å, intensity 22, (1 0 1); 33.72 deg, d = 2.658 Å, intensity 23, (1 1 0); 39.13 deg, d = 2.302 Å, intensity 31, (2 0 0); 40.07 deg, d = 2.250 Å, intensity 100, (1 1 1); 42.77 deg, d = 2.114 Å, intensity 30, (0 0 2); 44.83 deg, d = 2.022 Å, intensity 30, (2 0 1); 59.35 deg, d = 1.557 Å, intensity 18, (2 0 2); 64.61 deg, d = 1.443 Å, intensity 23, (3 0 1); 70.91 deg, d = 1.329 Å, intensity 18, (2 2 0); 86.50 deg, d = 1.125 Å, intensity 21, (2 2 2)

Structure:
Cell: 5.3160 5.3160 4.2283 Å, 90.00 90.00 120.00°
Space group P6/mmm (No. 191)
One atom of each set of equivalent atoms:
Y1 0.0000 0.0000 0.0000 (multiplicity 1)
Zn1 0.0000 0.5000 0.5000 (multiplicity 3)
Zn2 0.3333 0.6667 0.0000 (multiplicity 2)

No. 6
Simulated XRD peak list of YZn2 for Cu Kα, 1.54184 Å, from DFT lattice parameters and positions (PBE).
Kinematic intensities with the Lorentz-polarization factor, no thermal factor.

Principal peaks in the range 10 to 90 degrees two-theta, in order of rising 2θ:
32.39 deg, d = 2.764 Å, intensity 35, (1 1 0); 36.26 deg, d = 2.477 Å, intensity 65, (1 0 3); 38.61 deg, d = 2.332 Å, intensity 100, (1 1 2); 39.03 deg, d = 2.308 Å, intensity 74, (2 0 1); 41.59 deg, d = 2.171 Å, intensity 16, (0 0 4); 60.31 deg, d = 1.535 Å, intensity 26, (2 1 3); 61.94 deg, d = 1.498 Å, intensity 24, (3 0 2); 66.50 deg, d = 1.406 Å, intensity 28, (2 0 5); 67.80 deg, d = 1.382 Å, intensity 25, (2 2 0); 79.39 deg, d = 1.207 Å, intensity 12, (3 1 3)

Structure:
Cell: 5.5288 5.5288 8.6854 Å, 90.00 90.00 120.00°
Space group P6_3/mmc (No. 194)
One atom of each set of equivalent atoms:
Y1 0.3333 0.6667 0.0586 (multiplicity 4)
Zn1 0.0000 0.0000 0.0000 (multiplicity 2)
Zn2 0.1697 0.3394 0.7500 (multiplicity 6)